Theoretical powder diffractogram of K2SbF5 for Cu Kα, from a GGA-PBE-relaxed structure.
No peak broadening, texture or thermal motion is included.

Crystal structure
Cell: 7.7889 6.5834 12.8432 Å, 90.00 114.78 90.00°
Space group P2_1/c (No. 14)
Symmetry-distinct sites (fractional):
K  0.0076  0.2380  0.3805
K  0.3489  0.7455  0.9552
Sb  0.3170  0.2276  0.2020
F  0.0466  0.1987  0.6114
F  0.2024  0.0216  0.2804
F  0.2466  0.0059  0.0736
F  0.2771  0.0462  0.8096
F  0.3385  0.0756  0.5735

Main lines, in order of rising 2θ (10° ≤ 2θ ≤ 90°):
15.15 deg, intensity 45, hkl 1 0 -2
18.41 deg, intensity 59, hkl 1 1 0
20.32 deg, intensity 36, hkl 0 1 2
27.03 deg, intensity 100, hkl 2 1 -2
27.17 deg, intensity 79, hkl 1 1 2
27.79 deg, intensity 22, hkl 1 0 -4
38.18 deg, intensity 22, hkl 3 0 0
39.20 deg, intensity 61, hkl 1 2 -4
47.44 deg, intensity 18, hkl 3 2 0
48.59 deg, intensity 17, hkl 3 1 -6